Theoretical X-ray diffraction stick pattern
Compound: Nd3Sm3Dy5
Radiation: Cu Kα
Structure: DFT lattice parameters and positions (GGA-PBE)
Intensities are scaled so that the largest is 100.

Cell and atoms:
abc: 9.686 9.686 5.544
angles: 90.00 90.00 120.00
Element x y z (fractional)
Nd: 0.000 0.635 0.000
Nd: 0.365 0.365 0.000
Nd: 0.635 0.000 0.000
Sm: 0.000 0.438 0.500
Sm: 0.438 0.000 0.500
Sm: 0.562 0.562 0.500
Dy: 0.000 0.269 0.000
Dy: 0.269 0.000 0.000
Dy: 0.333 0.667 0.000
Dy: 0.667 0.333 0.000
Dy: 0.731 0.731 0.000

Most intense lines, 10° ≤ 2θ ≤ 90°, low angle first:
- 10.5 deg, intensity 44
- 16.0 deg, intensity 80
- 26.7 deg, intensity 74
- 28.1 deg, intensity 35
- 32.0 deg, intensity 73
- 32.3 deg, intensity 67
- 32.5 deg, intensity 100
- 36.0 deg, intensity 94
- 42.1 deg, intensity 45
- 46.1 deg, intensity 54

Theoretical X-ray diffraction stick pattern
Compound: Nd6Sm2Dy3
Radiation: Cu Kα
Structure: DFT lattice parameters and positions (GGA-PBE)
Intensities are scaled so that the largest is 100.

Cell and atoms:
abc: 6.297 8.103 8.134
angles: 107.44 97.30 104.88
Element x y z (fractional)
Nd: 0.047 0.182 0.409
Nd: 0.137 0.546 0.230
Nd: 0.319 0.272 0.864
Nd: 0.681 0.728 0.136
Nd: 0.863 0.454 0.770
Nd: 0.953 0.818 0.591
Sm: 0.229 0.910 0.047
Sm: 0.771 0.090 0.953
Dy: 0.410 0.637 0.681
Dy: 0.500 0.000 0.500
Dy: 0.590 0.363 0.319

Most intense lines, 10° ≤ 2θ ≤ 90°, low angle first:
- 30.1 deg, intensity 100
- 34.9 deg, intensity 34
- 35.0 deg, intensity 17
- 50.2 deg, intensity 24
- 59.6 deg, intensity 14
- 59.6 deg, intensity 11
- 59.7 deg, intensity 7
- 59.8 deg, intensity 11
- 62.6 deg, intensity 6
- 81.7 deg, intensity 7

Theoretical X-ray diffraction stick pattern
Compound: Nd12Sm7Dy
Radiation: Cu Kα
Structure: DFT lattice parameters and positions (GGA-PBE)
Intensities are scaled so that the largest is 100.

Cell and atoms:
abc: 11.579 11.579 11.579
angles: 116.78 116.78 116.78
Element x y z (fractional)
Nd: 0.061 0.416 0.416
Nd: 0.088 0.499 0.911
Nd: 0.089 0.912 0.501
Nd: 0.416 0.061 0.416
Nd: 0.416 0.416 0.061
Nd: 0.499 0.911 0.088
Nd: 0.501 0.089 0.912
Nd: 0.584 0.584 0.939
Nd: 0.584 0.939 0.584
Nd: 0.911 0.088 0.499
Nd: 0.912 0.501 0.089
Nd: 0.939 0.584 0.584
Sm: 0.124 0.373 0.125
Sm: 0.125 0.124 0.373
Sm: 0.373 0.125 0.124
Sm: 0.500 0.500 0.500
Sm: 0.627 0.875 0.876
Sm: 0.875 0.876 0.627
Sm: 0.876 0.627 0.875
Dy: 0.000 0.000 0.000

Most intense lines, 10° ≤ 2θ ≤ 90°, low angle first:
- 27.1 deg, intensity 48
- 28.8 deg, intensity 25
- 29.7 deg, intensity 100
- 30.2 deg, intensity 47
- 32.5 deg, intensity 46
- 32.7 deg, intensity 46
- 38.9 deg, intensity 40
- 39.6 deg, intensity 28
- 46.0 deg, intensity 30
- 47.1 deg, intensity 27

Theoretical X-ray diffraction stick pattern
Compound: NdSm12Dy2
Radiation: Cu Kα
Structure: DFT lattice parameters and positions (GGA-PBE)
Intensities are scaled so that the largest is 100.

Cell and atoms:
abc: 6.776 6.776 24.895
angles: 90.00 90.00 116.33
Element x y z (fractional)
Nd: 0.250 0.750 0.999
Nd: 0.750 0.250 0.001
Sm: 0.002 0.502 0.869
Sm: 0.002 0.998 0.077
Sm: 0.018 0.518 0.415
Sm: 0.023 0.977 0.560
Sm: 0.250 0.250 0.201
Sm: 0.250 0.250 0.326
Sm: 0.250 0.250 0.674
Sm: 0.250 0.250 0.799
Sm: 0.477 0.523 0.560
Sm: 0.482 0.982 0.415
Sm: 0.498 0.502 0.077
Sm: 0.498 0.998 0.869
Sm: 0.502 0.002 0.131
Sm: 0.502 0.498 0.923
Sm: 0.518 0.018 0.585
Sm: 0.523 0.477 0.440
Sm: 0.750 0.750 0.201
Sm: 0.750 0.750 0.326
Sm: 0.750 0.750 0.674
Sm: 0.750 0.750 0.799
Sm: 0.977 0.023 0.440
Sm: 0.982 0.482 0.585
Sm: 0.998 0.002 0.923
Sm: 0.998 0.498 0.131
Dy: 0.250 0.750 0.267
Dy: 0.250 0.750 0.728
Dy: 0.750 0.250 0.272
Dy: 0.750 0.250 0.733

Most intense lines, 10° ≤ 2θ ≤ 90°, low angle first:
- 28.8 deg, intensity 31
- 29.5 deg, intensity 71
- 30.3 deg, intensity 100
- 31.1 deg, intensity 98
- 31.4 deg, intensity 31
- 32.7 deg, intensity 74
- 32.8 deg, intensity 64
- 36.7 deg, intensity 49
- 47.6 deg, intensity 30
- 57.9 deg, intensity 32

Theoretical X-ray diffraction stick pattern
Compound: NdSm8Dy3
Radiation: Cu Kα
Structure: DFT lattice parameters and positions (GGA-PBE)
Intensities are scaled so that the largest is 100.

Cell and atoms:
abc: 8.744 8.744 8.744
angles: 135.89 98.99 97.22
Element x y z (fractional)
Nd: 0.000 0.000 0.000
Sm: 0.085 0.251 0.834
Sm: 0.257 0.244 0.502
Sm: 0.258 0.756 0.012
Sm: 0.417 0.251 0.166
Sm: 0.583 0.749 0.834
Sm: 0.742 0.754 0.498
Sm: 0.743 0.246 0.988
Sm: 0.915 0.749 0.166
Dy: 0.257 0.757 0.500
Dy: 0.500 0.500 0.000
Dy: 0.743 0.243 0.500

Most intense lines, 10° ≤ 2θ ≤ 90°, low angle first:
- 27.2 deg, intensity 18
- 30.9 deg, intensity 38
- 31.3 deg, intensity 100
- 31.5 deg, intensity 28
- 35.2 deg, intensity 38
- 44.7 deg, intensity 21
- 50.7 deg, intensity 26
- 55.3 deg, intensity 20
- 56.1 deg, intensity 21
- 65.4 deg, intensity 26

Theoretical X-ray diffraction stick pattern
Compound: NdSm3Dy7
Radiation: Cu Kα
Structure: DFT lattice parameters and positions (GGA-PBE)
Intensities are scaled so that the largest is 100.

Cell and atoms:
abc: 6.978 5.557 10.012
angles: 90.00 110.10 90.00
Element x y z (fractional)
Nd: 0.000 0.000 0.000
Sm: 0.282 0.500 0.499
Sm: 0.500 0.000 0.000
Sm: 0.718 0.500 0.501
Dy: 0.000 0.000 0.500
Dy: 0.146 0.500 0.789
Dy: 0.321 0.500 0.140
Dy: 0.418 0.000 0.330
Dy: 0.582 0.000 0.670
Dy: 0.679 0.500 0.860
Dy: 0.854 0.500 0.211

Most intense lines, 10° ≤ 2θ ≤ 90°, low angle first:
- 31.4 deg, intensity 24
- 31.5 deg, intensity 26
- 31.7 deg, intensity 100
- 31.9 deg, intensity 15
- 32.0 deg, intensity 16
- 32.2 deg, intensity 52
- 32.8 deg, intensity 53
- 48.9 deg, intensity 15
- 57.8 deg, intensity 15
- 62.9 deg, intensity 14

Theoretical X-ray diffraction stick pattern
Compound: Nd3Sm4Dy2
Radiation: Cu Kα
Structure: DFT lattice parameters and positions (GGA-PBE)
Intensities are scaled so that the largest is 100.

Cell and atoms:
abc: 3.631 3.631 26.963
angles: 90.00 90.00 120.00
Element x y z (fractional)
Nd: 0.000 0.000 0.000
Nd: 0.000 0.000 0.338
Nd: 0.667 0.333 0.672
Sm: 0.000 0.000 0.560
Sm: 0.000 0.000 0.784
Sm: 0.667 0.333 0.231
Sm: 0.667 0.333 0.452
Dy: 0.667 0.333 0.105
Dy: 0.667 0.333 0.889

Most intense lines, 10° ≤ 2θ ≤ 90°, low angle first:
- 28.4 deg, intensity 51
- 29.8 deg, intensity 53
- 31.4 deg, intensity 73
- 33.0 deg, intensity 100
- 41.6 deg, intensity 34
- 50.2 deg, intensity 40
- 56.0 deg, intensity 30
- 59.5 deg, intensity 45
- 61.4 deg, intensity 17
- 83.7 deg, intensity 15

Theoretical X-ray diffraction stick pattern
Compound: Nd3SmDy
Radiation: Cu Kα
Structure: DFT lattice parameters and positions (GGA-PBE)
Intensities are scaled so that the largest is 100.

Cell and atoms:
abc: 6.041 9.770 9.770
angles: 143.74 90.00 90.00
Element x y z (fractional)
Nd: 0.250 0.056 0.944
Nd: 0.250 0.266 0.757
Nd: 0.250 0.875 0.168
Nd: 0.750 0.168 0.875
Nd: 0.750 0.757 0.266
Nd: 0.750 0.944 0.056
Sm: 0.250 0.469 0.565
Sm: 0.750 0.565 0.469
Dy: 0.250 0.649 0.348
Dy: 0.750 0.348 0.649

Most intense lines, 10° ≤ 2θ ≤ 90°, low angle first:
- 29.4 deg, intensity 31
- 29.6 deg, intensity 31
- 31.9 deg, intensity 100
- 42.2 deg, intensity 23
- 53.7 deg, intensity 22
- 53.9 deg, intensity 23
- 58.2 deg, intensity 9
- 58.3 deg, intensity 9
- 66.6 deg, intensity 11
- 70.6 deg, intensity 10

Theoretical X-ray diffraction stick pattern
Compound: Nd8Sm2Dy3
Radiation: Cu Kα
Structure: DFT lattice parameters and positions (GGA-PBE)
Intensities are scaled so that the largest is 100.

Cell and atoms:
abc: 11.022 11.022 5.743
angles: 90.01 90.01 41.02
Element x y z (fractional)
Nd: 0.101 0.690 0.000
Nd: 0.172 0.172 0.500
Nd: 0.310 0.899 0.000
Nd: 0.369 0.369 0.500
Nd: 0.631 0.631 0.500
Nd: 0.690 0.101 0.000
Nd: 0.828 0.828 0.500
Nd: 0.899 0.310 0.000
Sm: 0.260 0.260 0.001
Sm: 0.740 0.740 0.999
Dy: 0.215 0.785 0.500
Dy: 0.500 0.500 0.000
Dy: 0.785 0.215 0.500

Most intense lines, 10° ≤ 2θ ≤ 90°, low angle first:
- 24.6 deg, intensity 23
- 29.0 deg, intensity 39
- 30.3 deg, intensity 36
- 31.1 deg, intensity 44
- 32.9 deg, intensity 100
- 34.8 deg, intensity 11
- 40.1 deg, intensity 13
- 56.5 deg, intensity 21
- 63.2 deg, intensity 11
- 66.7 deg, intensity 11

Theoretical X-ray diffraction stick pattern
Compound: Nd5SmDy5
Radiation: Cu Kα
Structure: DFT lattice parameters and positions (GGA-PBE)
Intensities are scaled so that the largest is 100.

Cell and atoms:
abc: 9.976 9.976 7.052
angles: 110.50 110.50 35.15
Element x y z (fractional)
Nd: 0.000 0.000 0.000
Nd: 0.324 0.324 0.068
Nd: 0.324 0.324 0.579
Nd: 0.676 0.676 0.421
Nd: 0.676 0.676 0.932
Sm: 0.500 0.500 0.000
Dy: 0.123 0.123 0.625
Dy: 0.170 0.170 0.171
Dy: 0.500 0.500 0.500
Dy: 0.830 0.830 0.829
Dy: 0.877 0.877 0.375

Most intense lines, 10° ≤ 2θ ≤ 90°, low angle first:
- 27.2 deg, intensity 21
- 28.2 deg, intensity 16
- 29.3 deg, intensity 18
- 29.7 deg, intensity 58
- 29.8 deg, intensity 19
- 30.3 deg, intensity 33
- 33.1 deg, intensity 100
- 42.9 deg, intensity 25
- 54.9 deg, intensity 24
- 60.9 deg, intensity 15

Theoretical X-ray diffraction stick pattern
Compound: Nd12Sm2Dy
Radiation: Cu Kα
Structure: DFT lattice parameters and positions (GGA-PBE)
Intensities are scaled so that the largest is 100.

Cell and atoms:
abc: 6.870 6.870 25.131
angles: 90.00 90.00 116.48
Element x y z (fractional)
Nd: 0.002 0.502 0.128
Nd: 0.002 0.998 0.926
Nd: 0.020 0.520 0.583
Nd: 0.024 0.976 0.440
Nd: 0.250 0.250 0.199
Nd: 0.250 0.250 0.325
Nd: 0.250 0.250 0.675
Nd: 0.250 0.250 0.801
Nd: 0.476 0.524 0.440
Nd: 0.480 0.980 0.583
Nd: 0.498 0.502 0.926
Nd: 0.498 0.998 0.128
Nd: 0.502 0.002 0.872
Nd: 0.502 0.498 0.074
Nd: 0.520 0.020 0.417
Nd: 0.524 0.476 0.560
Nd: 0.750 0.750 0.199
Nd: 0.750 0.750 0.325
Nd: 0.750 0.750 0.675
Nd: 0.750 0.750 0.801
Nd: 0.976 0.024 0.560
Nd: 0.980 0.480 0.417
Nd: 0.998 0.002 0.074
Nd: 0.998 0.498 0.872
Sm: 0.250 0.750 0.272
Sm: 0.250 0.750 0.733
Sm: 0.750 0.250 0.267
Sm: 0.750 0.250 0.728
Dy: 0.250 0.750 0.001
Dy: 0.750 0.250 0.999

Most intense lines, 10° ≤ 2θ ≤ 90°, low angle first:
- 28.5 deg, intensity 29
- 29.2 deg, intensity 50
- 29.9 deg, intensity 70
- 30.6 deg, intensity 71
- 31.0 deg, intensity 21
- 32.4 deg, intensity 100
- 36.2 deg, intensity 40
- 55.5 deg, intensity 20
- 57.2 deg, intensity 20
- 60.2 deg, intensity 20

Theoretical X-ray diffraction stick pattern
Compound: Nd3Sm5Dy2
Radiation: Cu Kα
Structure: DFT lattice parameters and positions (GGA-PBE)
Intensities are scaled so that the largest is 100.

Cell and atoms:
abc: 9.470 9.470 9.777
angles: 108.49 108.49 109.83
Element x y z (fractional)
Nd: 0.019 0.270 0.051
Nd: 0.230 0.770 0.750
Nd: 0.270 0.019 0.551
Nd: 0.730 0.981 0.449
Nd: 0.770 0.230 0.250
Nd: 0.981 0.730 0.949
Sm: 0.022 0.978 0.750
Sm: 0.146 0.387 0.778
Sm: 0.273 0.727 0.250
Sm: 0.387 0.146 0.278
Sm: 0.472 0.528 0.250
Sm: 0.528 0.472 0.750
Sm: 0.613 0.854 0.722
Sm: 0.727 0.273 0.750
Sm: 0.854 0.613 0.222
Sm: 0.978 0.022 0.250
Dy: 0.222 0.465 0.451
Dy: 0.465 0.222 0.951
Dy: 0.535 0.778 0.049
Dy: 0.778 0.535 0.549

Most intense lines, 10° ≤ 2θ ≤ 90°, low angle first:
- 29.6 deg, intensity 97
- 29.8 deg, intensity 99
- 30.3 deg, intensity 100
- 30.4 deg, intensity 97
- 31.9 deg, intensity 46
- 32.9 deg, intensity 94
- 38.6 deg, intensity 32
- 48.6 deg, intensity 50
- 56.6 deg, intensity 24
- 66.8 deg, intensity 39